LiAlC2N4: calculated powder diffractogram (CuKα), based on a cell relaxed with PBE.

Cell and atoms:
a = 9.2210 Å, b = 6.4945 Å, c = 5.4405 Å
α = 90.00°, β = 90.00°, γ = 90.00°
Fractional positions:
Li (0.0000, 0.1176, 0.2500)
Li (0.0000, 0.8824, 0.7500)
Li (0.5000, 0.3824, 0.7500)
Li (0.5000, 0.6176, 0.2500)
Al (0.0000, 0.3792, 0.7500)
Al (0.0000, 0.6208, 0.2500)
Al (0.5000, 0.1208, 0.2500)
Al (0.5000, 0.8792, 0.7500)
C (0.2465, 0.3692, 0.0879)
C (0.2465, 0.6308, 0.5879)
C (0.2535, 0.1308, 0.5879)
C (0.2535, 0.8692, 0.0879)
C (0.7465, 0.1308, 0.9121)
C (0.7465, 0.8692, 0.4121)
C (0.7535, 0.3692, 0.4121)
C (0.7535, 0.6308, 0.9121)
N (0.1139, 0.3997, 0.0651)
N (0.1139, 0.6003, 0.5651)
N (0.1235, 0.1568, 0.6084)
N (0.1235, 0.8432, 0.1084)
N (0.3765, 0.3432, 0.1084)
N (0.3765, 0.6568, 0.6084)
N (0.3861, 0.1003, 0.5651)
N (0.3861, 0.8997, 0.0651)
N (0.6139, 0.1003, 0.9349)
N (0.6139, 0.8997, 0.4349)
N (0.6235, 0.3432, 0.3916)
N (0.6235, 0.6568, 0.8916)
N (0.8765, 0.1568, 0.8916)
N (0.8765, 0.8432, 0.3916)
N (0.8861, 0.3997, 0.4349)
N (0.8861, 0.6003, 0.9349)

Peak list (10 most intense, 10 to 90 degrees two-theta, by intensity)
2θ 33.58, I = 100
2θ 16.70, I = 70
2θ 37.70, I = 53
2θ 34.37, I = 53
2θ 23.41, I = 50
2θ 58.27, I = 31
2θ 51.43, I = 25
2θ 38.42, I = 22
2θ 56.69, I = 15
2θ 69.89, I = 12

ZnSi: calculated powder diffractogram (CuKα), based on a cell relaxed with PBE.

Cell and atoms:
a = 5.6746 Å, b = 5.6746 Å, c = 2.6157 Å
α = 90.00°, β = 90.00°, γ = 130.86°
Fractional positions:
Zn (0.0000, 0.0000, 0.0000)
Zn (0.5000, 0.5000, 0.5000)
Si (0.2183, 0.7817, 0.5000)
Si (0.7817, 0.2183, 0.5000)

Peak list (10 most intense, 10 to 90 degrees two-theta, by intensity)
2θ 47.74, I = 100
2θ 40.38, I = 94
2θ 17.18, I = 87
2θ 34.77, I = 69
2θ 38.14, I = 63
2θ 52.55, I = 40
2θ 76.93, I = 30
2θ 75.79, I = 24
2θ 42.11, I = 20
2θ 70.44, I = 16

AcAl2Cu9: calculated powder diffractogram (CuKα), based on a cell relaxed with PBE.

Cell and atoms:
a = 8.4670 Å, b = 8.4670 Å, c = 4.9429 Å
α = 90.00°, β = 90.00°, γ = 90.00°
Fractional positions:
Ac (0.0000, 0.0000, 0.0000)
Ac (0.5000, 0.5000, 0.0000)
Al (0.1154, 0.3846, 0.0000)
Al (0.3846, 0.8846, 0.0000)
Al (0.6154, 0.1154, 0.0000)
Al (0.8846, 0.6154, 0.0000)
Cu (0.0000, 0.5000, 0.5000)
Cu (0.0689, 0.2145, 0.5000)
Cu (0.1757, 0.6757, 0.2418)
Cu (0.1757, 0.6757, 0.7582)
Cu (0.2145, 0.9311, 0.5000)
Cu (0.2855, 0.4311, 0.5000)
Cu (0.3243, 0.1757, 0.2418)
Cu (0.3243, 0.1757, 0.7582)
Cu (0.4311, 0.7145, 0.5000)
Cu (0.5000, 0.0000, 0.5000)
Cu (0.5689, 0.2855, 0.5000)
Cu (0.6757, 0.8243, 0.2418)
Cu (0.6757, 0.8243, 0.7582)
Cu (0.7145, 0.5689, 0.5000)
Cu (0.7855, 0.0689, 0.5000)
Cu (0.8243, 0.3243, 0.2418)
Cu (0.8243, 0.3243, 0.7582)
Cu (0.9311, 0.7855, 0.5000)

Peak list (10 most intense, 10 to 90 degrees two-theta, by intensity)
2θ 38.23, I = 100
2θ 23.34, I = 46
2θ 42.35, I = 45
2θ 43.74, I = 43
2θ 35.04, I = 43
2θ 44.10, I = 39
2θ 48.04, I = 37
2θ 27.74, I = 26
2θ 33.47, I = 24
2θ 42.65, I = 23